Simulated X-ray powder pattern of Li2NiBiO4 for Cu Kα, 1.54184 Å, from a DFT-relaxed cell (PBE+U, Alexandria).
Kinematic intensities with the Lorentz-polarization factor, no thermal factor.

abc: 6.2603 8.9570 6.2692
angles: 90.00 90.00 90.00
Space group C222 (No. 21)
Asymmetric unit:
1 Li 0.0000 0.0000 0.0000 x2
2 Li 0.0000 0.5000 0.5000 x2
3 Li 0.2500 0.2500 0.7445 x4
4 Ni 0.2500 0.2500 0.2515 x4
5 Bi 0.0000 0.0000 0.5000 x2
6 Bi 0.0000 0.5000 0.0000 x2
7 O 0.0000 0.2529 0.5000 x4
8 O 0.0000 0.2557 0.0000 x4
9 O 0.2490 0.4844 0.2437 x8

Main lines, sorted by position (2θ from 5° to 70°):
(0 2 0), 4.479 Å, 2θ = 19.82°, intensity 14
(1 1 1), 3.971 Å, 2θ = 22.39°, intensity 100
(2 0 0), 3.132 Å, 2θ = 28.50°, intensity 12
(2 2 0), 2.567 Å, 2θ = 34.96°, intensity 35
(1 3 1), 2.476 Å, 2θ = 36.28°, intensity 29
(0 4 0), 2.239 Å, 2θ = 40.28°, intensity 15
(2 0 2), 2.215 Å, 2θ = 40.74°, intensity 29
(3 1 1), 1.934 Å, 2θ = 46.97°, intensity 29
(3 3 1), 1.651 Å, 2θ = 55.68°, intensity 17
(2 4 2), 1.575 Å, 2θ = 58.62°, intensity 19